This entry pairs a crystal structure of Rb2MoCF6 with its theoretical X-ray powder pattern. Radiation: Cu Kα (weighted mean of Kα1 and Kα2). Structure: a cell relaxed with GGA+U.
Kinematic intensities with the Lorentz-polarization factor, no thermal factor.

Largest 6 diffraction maxima, most intense first, 2θ = 10–90°:
two_theta, intensity, hkl
27.71, 100, 1 1 2
17.49, 44, 1 0 1
30.71, 36, 2 0 0
43.99, 34, 2 2 0
52.79, 32, 3 1 2
34.74, 31, 0 0 4

Crystal structure
abc: 5.822 5.822 10.328
angles: 90.00 90.00 90.00
Space group I4/mmm (No. 139)
Inequivalent atoms, fractional coordinates:
Rb: 0.000 0.500 0.250 (multiplicity 4)
Mo: 0.000 0.000 0.000 (multiplicity 2)
C: 0.000 0.000 0.500 (multiplicity 2)
F: 0.000 0.000 0.202 (multiplicity 4)
F: 0.244 0.244 0.500 (multiplicity 8)